Computed powder diffractogram of Li10Cr3P6O24F6 for Cu Kα, from a crystal structure in the Materials Project, relaxed with PBE+U.
Lines closer than 0.1° are merged.

a = 10.166 Å, b = 10.166 Å, c = 6.508 Å
α = 90.00°, β = 90.00°, γ = 120.00°
Fractional positions:
Li 0.000 0.000 0.000
Li 0.000 0.000 0.475
Li 0.159 0.794 0.386
Li 0.206 0.365 0.386
Li 0.333 0.667 0.222
Li 0.499 0.459 0.116
Li 0.541 0.040 0.116
Li 0.635 0.841 0.386
Li 0.667 0.333 0.927
Li 0.960 0.501 0.116
Cr 0.000 0.504 0.642
Cr 0.496 0.495 0.642
Cr 0.505 0.000 0.642
P 0.187 0.811 0.905
P 0.189 0.376 0.905
P 0.375 0.175 0.380
P 0.624 0.813 0.905
P 0.801 0.625 0.380
P 0.825 0.199 0.380
O 0.072 0.434 0.869
O 0.099 0.895 0.915
O 0.105 0.204 0.915
O 0.139 0.711 0.706
O 0.171 0.717 0.098
O 0.205 0.055 0.379
O 0.283 0.454 0.098
O 0.289 0.429 0.706
O 0.361 0.928 0.869
O 0.399 0.339 0.415
O 0.454 0.147 0.568
O 0.458 0.178 0.183
O 0.546 0.829 0.098
O 0.566 0.639 0.869
O 0.571 0.861 0.706
O 0.661 0.060 0.415
O 0.692 0.546 0.568
O 0.720 0.542 0.183
O 0.796 0.901 0.915
O 0.822 0.280 0.183
O 0.850 0.795 0.379
O 0.853 0.308 0.568
O 0.940 0.601 0.415
O 0.945 0.150 0.379
F 0.139 0.510 0.433
F 0.371 0.861 0.433
F 0.490 0.629 0.433
F 0.502 0.366 0.850
F 0.634 0.136 0.850
F 0.864 0.498 0.850

Largest 10 diffraction maxima, by angle, 2θ from 15° to 90°:
2θ 16.94, d = 5.233 Å, intensity 24; 2θ 17.45, d = 5.083 Å, intensity 22; 2θ 20.17, d = 4.402 Å, intensity 9; 2θ 24.41, d = 3.646 Å, intensity 100; 2θ 30.16, d = 2.963 Å, intensity 8; 2θ 30.46, d = 2.935 Å, intensity 14; 2θ 34.27, d = 2.617 Å, intensity 17; 2θ 38.01, d = 2.367 Å, intensity 14; 2θ 38.70, d = 2.326 Å, intensity 17; 2θ 50.03, d = 1.823 Å, intensity 16

Computed powder diffractogram of MgV4O6 for Cu Kα, from a crystal structure in the Materials Project, relaxed with PBE+U.
Lines closer than 0.1° are merged.

a = 5.269 Å, b = 5.269 Å, c = 15.702 Å
α = 90.00°, β = 90.00°, γ = 147.64°
Fractional positions:
Mg 0.151 0.849 0.750
Mg 0.849 0.151 0.250
V 0.102 0.898 0.139
V 0.102 0.898 0.361
V 0.365 0.635 0.047
V 0.365 0.635 0.453
V 0.635 0.365 0.547
V 0.635 0.365 0.953
V 0.898 0.102 0.639
V 0.898 0.102 0.861
O 0.000 0.000 0.000
O 0.000 0.000 0.500
O 0.209 0.791 0.250
O 0.277 0.723 0.579
O 0.277 0.723 0.921
O 0.463 0.537 0.163
O 0.463 0.537 0.337
O 0.537 0.463 0.663
O 0.537 0.463 0.837
O 0.723 0.277 0.079
O 0.723 0.277 0.421
O 0.791 0.209 0.750

Largest 10 diffraction maxima, by angle, 2θ from 15° to 90°:
2θ 33.59, d = 2.668 Å, intensity 100; 2θ 33.77, d = 2.654 Å, intensity 21; 2θ 35.48, d = 2.530 Å, intensity 21; 2θ 38.74, d = 2.325 Å, intensity 25; 2θ 41.16, d = 2.193 Å, intensity 32; 2θ 42.40, d = 2.132 Å, intensity 62; 2θ 44.41, d = 2.040 Å, intensity 48; 2θ 57.18, d = 1.611 Å, intensity 27; 2θ 60.33, d = 1.534 Å, intensity 22; 2θ 63.34, d = 1.468 Å, intensity 28

Computed powder diffractogram of Te15Mo2Cl12O2 for Cu Kα, from a crystal structure in the Materials Project, relaxed with PBE+U.
Lines closer than 0.1° are merged.

a = 8.133 Å, b = 8.425 Å, c = 14.871 Å
α = 93.76°, β = 97.92°, γ = 104.11°
Fractional positions:
Te 0.000 0.000 0.000
Te 0.001 0.478 0.530
Te 0.101 0.259 0.145
Te 0.110 0.757 0.690
Te 0.224 0.297 0.605
Te 0.244 0.096 0.878
Te 0.360 0.637 0.803
Te 0.497 0.999 0.000
Te 0.500 0.476 0.529
Te 0.599 0.258 0.145
Te 0.610 0.753 0.689
Te 0.725 0.297 0.608
Te 0.747 0.105 0.884
Te 0.858 0.636 0.803
Te 0.879 0.436 0.084
Mo 0.345 0.869 0.341
Mo 0.845 0.868 0.341
Cl 0.126 0.572 0.926
Cl 0.227 0.577 0.335
Cl 0.256 0.853 0.179
Cl 0.345 0.882 0.503
Cl 0.375 0.159 0.347
Cl 0.482 0.169 0.741
Cl 0.620 0.569 0.926
Cl 0.725 0.576 0.337
Cl 0.753 0.844 0.181
Cl 0.845 0.880 0.503
Cl 0.875 0.156 0.350
Cl 0.972 0.169 0.741
O 0.060 0.868 0.341
O 0.557 0.869 0.342

Largest 10 diffraction maxima, by angle, 2θ from 15° to 90°:
2θ 15.43, d = 5.744 Å, intensity 85; 2θ 22.16, d = 4.011 Å, intensity 49; 2θ 23.31, d = 3.816 Å, intensity 49; 2θ 24.12, d = 3.690 Å, intensity 90; 2θ 26.15, d = 3.408 Å, intensity 98; 2θ 30.57, d = 2.924 Å, intensity 100; 2θ 30.62, d = 2.920 Å, intensity 90; 2θ 36.18, d = 2.483 Å, intensity 47; 2θ 36.24, d = 2.479 Å, intensity 47; 2θ 45.87, d = 1.978 Å, intensity 45

Computed powder diffractogram of LiZn2Fe9O16 for Cu Kα, from a crystal structure in the Materials Project, relaxed with PBE+U.
Lines closer than 0.1° are merged.

a = 6.052 Å, b = 6.052 Å, c = 10.475 Å
α = 107.09°, β = 107.09°, γ = 59.90°
Fractional positions:
Li 0.000 0.000 0.000
Zn 0.187 0.187 0.562
Zn 0.940 0.940 0.310
Fe 0.372 0.372 0.125
Fe 0.432 0.942 0.311
Fe 0.440 0.440 0.814
Fe 0.441 0.934 0.815
Fe 0.504 0.504 0.495
Fe 0.685 0.685 0.055
Fe 0.876 0.876 0.628
Fe 0.934 0.441 0.815
Fe 0.942 0.432 0.311
O 0.043 0.564 0.186
O 0.073 0.073 0.695
O 0.075 0.552 0.697
O 0.076 0.076 0.207
O 0.307 0.307 0.430
O 0.308 0.308 0.927
O 0.317 0.825 0.433
O 0.341 0.793 0.927
O 0.552 0.075 0.697
O 0.564 0.043 0.186
O 0.568 0.568 0.694
O 0.572 0.572 0.189
O 0.793 0.341 0.927
O 0.794 0.794 0.931
O 0.808 0.808 0.430
O 0.825 0.317 0.433

Largest 10 diffraction maxima, by angle, 2θ from 15° to 90°:
2θ 17.97, d = 4.935 Å, intensity 40; 2θ 29.54, d = 3.024 Å, intensity 26; 2θ 34.72, d = 2.584 Å, intensity 50; 2θ 34.86, d = 2.574 Å, intensity 100; 2θ 36.41, d = 2.468 Å, intensity 19; 2θ 42.14, d = 2.144 Å, intensity 16; 2θ 42.37, d = 2.133 Å, intensity 32; 2θ 55.71, d = 1.650 Å, intensity 15; 2θ 55.96, d = 1.643 Å, intensity 27; 2θ 61.29, d = 1.512 Å, intensity 49

Computed powder diffractogram of Ba2CrF6 for Cu Kα, from a crystal structure in the Materials Project, relaxed with PBE+U.
Lines closer than 0.1° are merged.

a = 8.624 Å, b = 8.624 Å, c = 6.079 Å
α = 90.00°, β = 90.00°, γ = 41.61°
Fractional positions:
Ba 0.154 0.154 0.000
Ba 0.346 0.346 0.500
Ba 0.654 0.654 0.500
Ba 0.846 0.846 0.000
Cr 0.000 0.000 0.500
Cr 0.500 0.500 0.000
F 0.001 0.499 0.250
F 0.125 0.125 0.500
F 0.237 0.763 0.731
F 0.263 0.737 0.231
F 0.375 0.375 0.000
F 0.499 0.001 0.750
F 0.501 0.999 0.250
F 0.625 0.625 0.000
F 0.737 0.263 0.769
F 0.763 0.237 0.269
F 0.875 0.875 0.500
F 0.999 0.501 0.750

Largest 10 diffraction maxima, by angle, 2θ from 15° to 90°:
2θ 26.49, d = 3.365 Å, intensity 100; 2θ 29.15, d = 3.063 Å, intensity 19; 2θ 29.39, d = 3.040 Å, intensity 19; 2θ 33.35, d = 2.687 Å, intensity 14; 2θ 36.85, d = 2.439 Å, intensity 18; 2θ 37.04, d = 2.427 Å, intensity 17; 2θ 41.87, d = 2.158 Å, intensity 34; 2θ 45.02, d = 2.014 Å, intensity 15; 2θ 50.08, d = 1.821 Å, intensity 17; 2θ 50.38, d = 1.811 Å, intensity 17

Computed powder diffractogram of MgFe6O10F2 for Cu Kα, from a crystal structure in the Materials Project, relaxed with PBE+U.
Lines closer than 0.1° are merged.

a = 2.957 Å, b = 6.793 Å, c = 11.167 Å
α = 74.15°, β = 89.95°, γ = 89.97°
Fractional positions:
Mg 0.000 0.000 0.000
Fe 0.001 0.160 0.209
Fe 0.498 0.016 0.499
Fe 0.498 0.360 0.806
Fe 0.501 0.632 0.211
Fe 0.998 0.481 0.503
Fe 0.998 0.840 0.789
O 0.000 0.621 0.321
O 0.498 0.308 0.492
O 0.498 0.652 0.800
O 0.499 0.989 0.862
O 0.500 0.995 0.139
O 0.501 0.352 0.195
O 0.997 0.963 0.615
O 0.998 0.302 0.920
O 0.998 0.379 0.690
O 0.999 0.036 0.384
F 0.001 0.700 0.071
F 0.498 0.681 0.520

Largest 10 diffraction maxima, by angle, 2θ from 15° to 90°:
2θ 24.87, d = 3.581 Å, intensity 93; 2θ 26.25, d = 3.395 Å, intensity 100; 2θ 35.25, d = 2.546 Å, intensity 46; 2θ 35.56, d = 2.525 Å, intensity 50; 2θ 35.86, d = 2.504 Å, intensity 21; 2θ 39.53, d = 2.280 Å, intensity 34; 2θ 51.32, d = 1.780 Å, intensity 27; 2θ 52.16, d = 1.754 Å, intensity 23; 2θ 52.84, d = 1.733 Å, intensity 37; 2θ 57.83, d = 1.595 Å, intensity 21

Computed powder diffractogram of Li2MnCr3O8 for Cu Kα, from a crystal structure in the Materials Project, relaxed with PBE+U.
Lines closer than 0.1° are merged.

a = 8.384 Å, b = 8.384 Å, c = 8.349 Å
α = 90.00°, β = 90.00°, γ = 90.52°
Fractional positions:
Li 0.001 0.751 0.875
Li 0.249 0.999 0.625
Li 0.250 0.499 0.123
Li 0.499 0.250 0.877
Li 0.501 0.750 0.377
Li 0.750 0.501 0.623
Li 0.751 0.001 0.125
Li 0.999 0.249 0.375
Mn 0.125 0.125 0.000
Mn 0.375 0.625 0.750
Mn 0.625 0.375 0.250
Mn 0.875 0.875 0.500
Cr 0.123 0.626 0.502
Cr 0.123 0.877 0.250
Cr 0.125 0.375 0.749
Cr 0.374 0.877 0.998
Cr 0.375 0.125 0.251
Cr 0.375 0.375 0.500
Cr 0.625 0.625 0.000
Cr 0.625 0.875 0.751
Cr 0.626 0.123 0.498
Cr 0.875 0.625 0.249
Cr 0.877 0.123 0.750
Cr 0.877 0.374 0.002
O 0.104 0.637 0.259
O 0.106 0.865 0.491
O 0.115 0.360 0.985
O 0.119 0.142 0.767
O 0.133 0.387 0.521
O 0.135 0.894 0.009
O 0.142 0.119 0.233
O 0.143 0.609 0.747
O 0.360 0.115 0.015
O 0.363 0.392 0.741
O 0.363 0.615 0.518
O 0.363 0.896 0.241
O 0.385 0.637 0.982
O 0.387 0.133 0.479
O 0.391 0.857 0.753
O 0.392 0.363 0.259
O 0.608 0.637 0.759
O 0.609 0.143 0.253
O 0.613 0.867 0.979
O 0.615 0.363 0.482
O 0.637 0.104 0.741
O 0.637 0.385 0.018
O 0.637 0.608 0.241
O 0.640 0.885 0.515
O 0.857 0.391 0.247
O 0.858 0.881 0.733
O 0.865 0.106 0.509
O 0.867 0.613 0.021
O 0.881 0.858 0.267
O 0.885 0.640 0.485
O 0.894 0.135 0.991
O 0.896 0.363 0.759

Largest 10 diffraction maxima, by angle, 2θ from 15° to 90°:
2θ 18.30, d = 4.848 Å, intensity 100; 2θ 18.41, d = 4.819 Å, intensity 90; 2θ 35.44, d = 2.533 Å, intensity 29; 2θ 35.63, d = 2.520 Å, intensity 58; 2θ 43.16, d = 2.096 Å, intensity 70; 2θ 43.35, d = 2.087 Å, intensity 35; 2θ 56.99, d = 1.616 Å, intensity 14; 2θ 57.24, d = 1.609 Å, intensity 17; 2θ 62.37, d = 1.489 Å, intensity 10; 2θ 62.83, d = 1.479 Å, intensity 41

Computed powder diffractogram of BaMnF5 for Cu Kα, from a crystal structure in the Materials Project, relaxed with PBE+U.
Lines closer than 0.1° are merged.

a = 5.026 Å, b = 5.908 Å, c = 14.363 Å
α = 90.00°, β = 90.00°, γ = 90.00°
Fractional positions:
Ba 0.245 0.136 0.161
Ba 0.255 0.864 0.661
Ba 0.745 0.364 0.839
Ba 0.755 0.636 0.339
Mn 0.161 0.119 0.415
Mn 0.339 0.881 0.915
Mn 0.661 0.381 0.585
Mn 0.839 0.619 0.085
F 0.006 0.885 0.484
F 0.059 0.871 0.005
F 0.131 0.619 0.168
F 0.181 0.117 0.822
F 0.201 0.639 0.843
F 0.299 0.361 0.343
F 0.319 0.883 0.322
F 0.369 0.381 0.668
F 0.441 0.129 0.505
F 0.494 0.115 0.984
F 0.506 0.615 0.516
F 0.559 0.629 0.995
F 0.631 0.881 0.832
F 0.681 0.383 0.178
F 0.701 0.861 0.157
F 0.799 0.139 0.657
F 0.819 0.617 0.678
F 0.869 0.119 0.332
F 0.941 0.371 0.495
F 0.994 0.385 0.016

Largest 10 diffraction maxima, by angle, 2θ from 15° to 90°:
2θ 23.24, d = 3.828 Å, intensity 83; 2θ 23.92, d = 3.720 Å, intensity 38; 2θ 24.06, d = 3.699 Å, intensity 100; 2θ 24.80, d = 3.591 Å, intensity 26; 2θ 29.10, d = 3.068 Å, intensity 27; 2θ 30.60, d = 2.922 Å, intensity 46; 2θ 30.90, d = 2.894 Å, intensity 41; 2θ 35.74, d = 2.512 Å, intensity 39; 2θ 40.10, d = 2.248 Å, intensity 95; 2θ 43.98, d = 2.059 Å, intensity 31

- Which formula does entry 7 have?
  Li2MnCr3O8